(1)
Starting from a crystal structure in the Materials Project, relaxed with GGA-PBE, the PXRD pattern of NbCr3Cu2S8 was calculated for CuKα.
Peak positions follow from Bragg's law for the DFT cell and can differ from measured ones.

Largest 10 diffraction maxima, in order of rising 2θ, 2θ from 5° to 70°:
h k l	2theta	d_spacing	intensity
0 1 2	19.36	4.585	50.1
1 0 -2	21.27	4.178	46.0
1 1 -3	29.87	2.991	81.2
1 1 3	30.09	2.970	76.1
1 2 -1	30.60	2.922	90.3
1 2 2	33.34	2.688	35.0
2 2 -2	43.23	2.093	61.3
2 2 2	43.44	2.083	80.5
0 4 0	51.63	1.770	54.9
0 2 6	52.43	1.745	100.0

Crystal structure
a b c (Å): 5.726 7.081 12.035
angles (deg): 90.00 90.53 90.00
Sites, in units of the cell vectors:
Nb 0.022 0.250 0.249
Nb 0.978 0.750 0.751
Cr 0.000 0.000 0.500
Cr 0.000 0.500 0.500
Cr 0.483 0.250 0.743
Cr 0.500 0.000 0.000
Cr 0.500 0.500 0.000
Cr 0.517 0.750 0.257
Cu 0.094 0.250 0.908
Cu 0.392 0.250 0.406
Cu 0.608 0.750 0.594
Cu 0.906 0.750 0.092
S 0.219 0.750 0.580
S 0.235 0.250 0.582
S 0.240 0.514 0.332
S 0.240 0.986 0.332
S 0.261 0.250 0.083
S 0.270 0.505 0.830
S 0.270 0.995 0.830
S 0.296 0.750 0.088
S 0.704 0.250 0.912
S 0.730 0.005 0.170
S 0.730 0.495 0.170
S 0.739 0.750 0.917
S 0.760 0.014 0.668
S 0.760 0.486 0.668
S 0.765 0.750 0.418
S 0.781 0.250 0.420


(2)
Starting from a crystal structure in the Materials Project, relaxed with GGA-PBE, the PXRD pattern of Y2B6Os was calculated for CuKα.
Peak positions follow from Bragg's law for the DFT cell and can differ from measured ones.

Largest 10 diffraction maxima, in order of rising 2θ, 2θ from 5° to 70°:
h k l	2theta	d_spacing	intensity
2 1 0	20.84	4.263	24.7
0 0 1	24.29	3.665	100.0
3 1 0	30.26	2.954	54.9
1 4 0	32.49	2.756	37.7
3 2 0	33.14	2.703	23.5
3 1 1	39.17	2.300	72.9
1 4 1	40.98	2.203	48.1
3 2 1	41.52	2.175	31.7
3 3 1	45.23	2.005	31.9
0 0 2	49.76	1.832	24.5

Crystal structure
a b c (Å): 9.174 11.557 3.665
angles (deg): 90.00 90.00 90.00
Sites, in units of the cell vectors:
Y 0.055 0.126 0.000
Y 0.178 0.414 0.000
Y 0.322 0.914 0.000
Y 0.445 0.626 0.000
Y 0.555 0.374 0.000
Y 0.678 0.086 0.000
Y 0.822 0.586 0.000
Y 0.945 0.874 0.000
B 0.016 0.287 0.500
B 0.054 0.567 0.500
B 0.112 0.969 0.500
B 0.133 0.814 0.500
B 0.209 0.232 0.500
B 0.248 0.580 0.500
B 0.252 0.080 0.500
B 0.291 0.732 0.500
B 0.367 0.314 0.500
B 0.388 0.469 0.500
B 0.446 0.067 0.500
B 0.484 0.787 0.500
B 0.516 0.213 0.500
B 0.554 0.933 0.500
B 0.612 0.531 0.500
B 0.633 0.686 0.500
B 0.709 0.268 0.500
B 0.748 0.920 0.500
B 0.752 0.420 0.500
B 0.791 0.768 0.500
B 0.867 0.186 0.500
B 0.888 0.031 0.500
B 0.946 0.433 0.500
B 0.984 0.713 0.500
Os 0.138 0.679 0.000
Os 0.362 0.179 0.000
Os 0.638 0.821 0.000
Os 0.862 0.321 0.000


(3)
Starting from a crystal structure in the Materials Project, relaxed with GGA-PBE, the PXRD pattern of Bi2Se2S was calculated for CuKα.
Peak positions follow from Bragg's law for the DFT cell and can differ from measured ones.

Largest 10 diffraction maxima, in order of rising 2θ, 2θ from 5° to 70°:
h k l	2theta	d_spacing	intensity
3 0 1	23.73	3.749	60.0
1 0 3	24.45	3.640	33.4
1 1 2	27.64	3.227	100.0
2 1 2	30.60	2.921	56.0
0 1 3	31.88	2.807	24.7
1 1 3	32.78	2.732	28.1
4 0 2	33.95	2.641	30.4
4 1 1	38.08	2.363	31.8
0 2 0	43.81	2.066	39.3
3 1 4	44.71	2.027	57.2

Crystal structure
a b c (Å): 11.900 4.134 11.470
angles (deg): 90.00 90.00 90.00
Sites, in units of the cell vectors:
Bi 0.016 0.250 0.166
Bi 0.158 0.750 0.464
Bi 0.342 0.250 0.964
Bi 0.484 0.750 0.666
Bi 0.516 0.250 0.334
Bi 0.658 0.750 0.036
Bi 0.842 0.250 0.536
Bi 0.984 0.750 0.834
Se 0.053 0.250 0.635
Se 0.220 0.250 0.303
Se 0.280 0.750 0.803
Se 0.447 0.750 0.135
Se 0.553 0.250 0.865
Se 0.720 0.250 0.197
Se 0.780 0.750 0.697
Se 0.947 0.750 0.365
S 0.117 0.750 0.054
S 0.383 0.250 0.554
S 0.617 0.750 0.446
S 0.883 0.250 0.946